Starting from a DFT-relaxed cell (PBE+U, Alexandria), the powder diffraction line list of LiVP3O9 was calculated for a wavelength of 1.5418 Å.

Cell and atoms:
```
LiVP3O9
1.0
5.3240 0.0000 0.0000
0.0000 11.5592 0.0000
0.0000 0.0000 12.3230
Li V P O
4 4 12 36
Cartesian
5.3239 1.6199 2.0346
0.0001 7.3996 4.1269
2.6619 4.1597 10.2884
2.6621 9.9393 8.1961
0.6398 5.6443 1.5627
2.0222 5.9150 7.7242
3.3018 0.1353 10.7603
4.6842 11.4239 4.5988
0.5509 9.4840 10.2827
0.5676 6.5736 10.6559
0.6264 1.9046 10.2246
2.0356 9.6547 4.0631
2.0944 4.9856 4.4944
2.1111 2.0752 4.1212
3.2129 7.8549 2.0403
3.2296 10.7653 1.6671
3.2884 3.8751 2.0984
4.6976 7.6842 8.2599
4.7564 0.7940 7.8286
4.7731 3.7044 8.2019
0.0262 5.8982 11.8653
0.0923 9.0463 8.7687
0.2684 7.0890 7.2168
0.5865 9.3892 4.4005
0.6201 4.2795 7.4887
0.6583 1.0314 8.8556
0.8499 1.2922 3.8767
0.9742 5.6782 3.7460
1.0013 8.0952 10.9659
1.6607 3.4640 4.8044
1.6878 5.8811 9.9075
1.8121 10.2670 10.0382
2.0037 10.5279 2.6941
2.0419 7.2798 1.3272
2.0755 2.1701 10.5620
2.3936 4.4703 1.0553
2.5697 2.5129 2.6072
2.6358 5.6610 5.7038
2.6882 11.4407 0.4577
2.7543 8.2926 3.5543
2.9304 10.2499 5.1062
3.2485 7.9497 7.9225
3.2821 1.5002 4.8343
3.3203 4.7482 3.4674
3.5119 4.4874 8.4463
3.6362 0.1015 8.5770
3.6632 9.2437 1.3571
4.3227 2.3156 7.5186
4.3498 11.4578 2.4155
4.4741 7.0718 2.2848
4.6657 6.8110 9.6289
4.7039 10.0591 10.9958
4.7375 3.6095 1.7610
5.0556 1.3094 11.2677
5.2317 3.2667 9.7158
5.2978 0.1186 6.6192
```

Most intense lines, 2θ from 10° to 80°, most intense first:
d [Å]	intensity	index
6.162	100	0 0 2
4.887	79	1 0 1
5.437	78	0 1 2
3.122	61	1 3 0
3.081	60	0 0 4
3.026	60	1 3 1
3.732	54	1 2 1
4.502	48	1 1 1